The following is a theoretical X-ray powder pattern of Cu2BH5O6. It was derived from a cell relaxed with GGA-PBE, using Cu Kα, 1.54184 Å.
Neutral-atom scattering factors, no anomalous dispersion.

Atomic structure:
a b c (Å): 9.5016 5.9200 8.8307
angles (deg): 90.00 90.00 90.00
Atoms (fractional coordinates):
Cu1 0.2487 0.0010 0.0767
Cu2 0.2487 0.4990 0.0767
Cu3 0.2513 0.5010 0.5767
Cu4 0.2513 0.9990 0.5767
Cu5 0.7487 0.0010 0.4233
Cu6 0.7487 0.4990 0.4233
Cu7 0.7513 0.5010 0.9233
Cu8 0.7513 0.9990 0.9233
B1 0.0071 0.7500 0.3305
B2 0.4929 0.2500 0.8305
B3 0.5071 0.7500 0.1695
B4 0.9929 0.2500 0.6695
H1 0.0139 0.0771 0.3274
H2 0.0139 0.4229 0.3274
H3 0.0493 0.7500 0.9885
H4 0.1516 0.2500 0.8842
H5 0.1566 0.7500 0.7840
H6 0.3434 0.2500 0.2840
H7 0.3484 0.7500 0.3842
H8 0.4507 0.2500 0.4885
H9 0.4861 0.5771 0.8274
H10 0.4861 0.9229 0.8274
H11 0.5139 0.0771 0.1726
H12 0.5139 0.4229 0.1726
H13 0.5493 0.7500 0.5115
H14 0.6516 0.2500 0.6158
H15 0.6566 0.7500 0.7160
H16 0.8434 0.2500 0.2160
H17 0.8484 0.7500 0.1158
H18 0.9507 0.2500 0.0115
H19 0.9861 0.5771 0.6726
H20 0.9861 0.9229 0.6726
O1 0.0825 0.5501 0.3238
O2 0.0825 0.9499 0.3238
O3 0.1344 0.2500 0.9944
O4 0.1373 0.2500 0.6614
O5 0.1380 0.7500 0.6708
O6 0.1535 0.7500 0.9717
O7 0.3465 0.2500 0.4717
O8 0.3620 0.2500 0.1708
O9 0.3627 0.7500 0.1614
O10 0.3656 0.7500 0.4944
O11 0.4175 0.0501 0.8238
O12 0.4175 0.4499 0.8238
O13 0.5825 0.5501 0.1762
O14 0.5825 0.9499 0.1762
O15 0.6344 0.2500 0.5056
O16 0.6373 0.2500 0.8386
O17 0.6380 0.7500 0.8292
O18 0.6535 0.7500 0.5283
O19 0.8465 0.2500 0.0283
O20 0.8620 0.2500 0.3292
O21 0.8627 0.7500 0.3386
O22 0.8656 0.7500 0.0056
O23 0.9175 0.0501 0.6762
O24 0.9175 0.4499 0.6762

Largest 8 diffraction maxima, by angle, 10 to 80 degrees two-theta:
two_theta, intensity, h k l
18.68, 83, 2 0 0
22.20, 100, 1 0 2
27.58, 44, 2 0 2
34.86, 40, 3 0 2
35.74, 31, 2 2 0
37.81, 35, 1 2 2
46.77, 42, 3 2 2
52.61, 40, 1 2 4

The following is a theoretical X-ray powder pattern of Ho2CuB4O10. It was derived from a cell relaxed with GGA-PBE, using Cu Kα, 1.54184 Å.
Neutral-atom scattering factors, no anomalous dispersion.

Atomic structure:
a b c (Å): 4.6048 7.2902 9.3600
angles (deg): 90.00 90.46 90.00
Atoms (fractional coordinates):
Ho1 0.0043 0.1045 0.1653
Ho2 0.0043 0.3955 0.6653
Ho3 0.9957 0.6045 0.3347
Ho4 0.9957 0.8955 0.8347
Cu1 0.0000 0.0000 0.5000
Cu2 0.0000 0.5000 0.0000
B1 0.4602 0.7324 0.5809
B2 0.4602 0.7676 0.0809
B3 0.4722 0.0986 0.6618
B4 0.4722 0.4014 0.1618
B5 0.5278 0.5986 0.8382
B6 0.5278 0.9014 0.3382
B7 0.5398 0.2324 0.9191
B8 0.5398 0.2676 0.4191
O1 0.2147 0.5893 0.8342
O2 0.2147 0.9107 0.3342
O3 0.2289 0.6117 0.5424
O4 0.2289 0.8883 0.0424
O5 0.3229 0.5872 0.1380
O6 0.3229 0.9128 0.6380
O7 0.3434 0.1656 0.8000
O8 0.3434 0.3344 0.3000
O9 0.3592 0.2222 0.5470
O10 0.3592 0.2778 0.0470
O11 0.6408 0.7222 0.9530
O12 0.6408 0.7778 0.4530
O13 0.6566 0.6656 0.7000
O14 0.6566 0.8344 0.2000
O15 0.6771 0.0872 0.3620
O16 0.6771 0.4128 0.8620
O17 0.7711 0.1117 0.9576
O18 0.7711 0.3883 0.4576
O19 0.7853 0.0893 0.6658
O20 0.7853 0.4107 0.1658

Largest 8 diffraction maxima, by angle, 10 to 80 degrees two-theta:
two_theta, intensity, h k l
19.28, 100, 1 0 0
22.58, 35, 0 1 2
26.24, 44, 0 2 1
29.75, 29, 1 1 -2
31.18, 43, 0 1 3
32.76, 93, 1 2 1
36.79, 44, 1 1 -3
37.05, 48, 1 1 3